Ho: theoretical powder diffraction line list (a wavelength of 1.5418 Å), based on a PBE-relaxed structure.
No peak broadening, texture or thermal motion is included.

Cell and atoms:
Cell lengths 4.9836, 4.9836, 4.9836 Å; angles 90.00, 90.00, 90.00 degrees
Element x y z (fractional)
Ho 0.0000 0.0000 0.0000
Ho 0.0000 0.5000 0.5000
Ho 0.5000 0.0000 0.5000
Ho 0.5000 0.5000 0.0000

The 8 most intense peaks (2θ = 15–90°), low angle first:
- d = 2.877 Å, intensity 100.0, hkl 1 1 1
- d = 2.492 Å, intensity 50.6, hkl 2 0 0
- d = 1.762 Å, intensity 36.0, hkl 2 2 0
- d = 1.503 Å, intensity 42.7, hkl 3 1 1
- d = 1.439 Å, intensity 12.3, hkl 2 2 2
- d = 1.246 Å, intensity 5.7, hkl 4 0 0
- d = 1.143 Å, intensity 17.9, hkl 3 3 1
- d = 1.114 Å, intensity 16.8, hkl 4 2 0